# 1
Starting from a GGA-PBE-relaxed structure, the XRD peak list of Tb2NdSm2Tm2 was calculated for Cu Ka.
Neutral-atom scattering factors, no anomalous dispersion.

Main lines, in order of falling intensity (10° ≤ 2θ ≤ 90°):
two_theta, d [Å], I (rel.)
30.65, 2.917, 100
31.10, 2.876, 82
31.76, 2.818, 82
34.43, 2.605, 72
35.05, 2.560, 70
62.50, 1.486, 68
27.33, 3.264, 47
53.03, 1.727, 36
30.06, 2.973, 35
26.68, 3.342, 35

a b c (Å): 11.5120 3.4990 11.8182
angles (deg): 90.00 101.79 90.00
Element x y z (fractional)
Tb: 0.1539 0.0000 0.0719
Tb: 0.3461 0.5000 0.9281
Tb: 0.6539 0.5000 0.0719
Tb: 0.8461 0.0000 0.9281
Nd: 0.0000 0.5000 0.5000
Nd: 0.5000 0.0000 0.5000
Sm: 0.0940 0.0000 0.7734
Sm: 0.4060 0.5000 0.2266
Sm: 0.5940 0.5000 0.7734
Sm: 0.9060 0.0000 0.2266
Tm: 0.2036 0.0000 0.3711
Tm: 0.2964 0.5000 0.6289
Tm: 0.7036 0.5000 0.3711
Tm: 0.7964 0.0000 0.6289

# 2
Starting from a GGA-PBE-relaxed structure, the XRD peak list of K3Tb3US8 was calculated for Cu Ka.
Neutral-atom scattering factors, no anomalous dispersion.

Main lines, in order of falling intensity (10° ≤ 2θ ≤ 90°):
two_theta, d [Å], I (rel.)
11.83, 7.482, 100
30.08, 2.971, 89
25.74, 3.461, 34
26.66, 3.343, 32
41.23, 2.190, 32
44.82, 2.022, 30
38.05, 2.365, 24
46.52, 1.952, 21
23.79, 3.741, 17
54.92, 1.672, 15

a b c (Å): 8.8194 8.8194 8.8194
angles (deg): 54.59 54.59 54.59
Element x y z (fractional)
K: 0.0000 0.5000 0.5000
K: 0.5000 0.0000 0.5000
K: 0.5000 0.5000 0.0000
Tb: 0.0000 0.0000 0.5000
Tb: 0.0000 0.5000 0.0000
Tb: 0.5000 0.0000 0.0000
U: 0.5000 0.5000 0.5000
S: 0.2337 0.2337 0.2337
S: 0.2385 0.7284 0.7284
S: 0.2716 0.2716 0.7615
S: 0.2716 0.7615 0.2716
S: 0.7284 0.2385 0.7284
S: 0.7284 0.7284 0.2385
S: 0.7615 0.2716 0.2716
S: 0.7663 0.7663 0.7663